Record 1
# Li3Nb4ZnO12
Computed powder diffractogram, Cu Ka. Input: a crystal structure in the Materials Project, relaxed with PBE.
Neutral-atom scattering factors, no anomalous dispersion.

Principal peaks in the range 10 to 90 degrees two-theta, low angle first:
| 2theta | intensity |
| --- | --- |
| 23.3 | 100 |
| 32.0 | 68 |
| 34.2 | 45 |
| 39.3 | 12 |
| 47.6 | 31 |
| 52.1 | 38 |
| 59.9 | 25 |
| 61.2 | 14 |

Structural model:
abc: 5.2429 5.6084 7.6799
angles: 95.30 90.07 90.08
Fractional coordinates of all 20 atoms:
Li  0.0000  0.0000  0.0000
Li  0.0011  0.0008  0.4978
Li  0.4995  0.4965  0.0005
Nb  0.0024  0.5635  0.2090
Nb  0.4986  0.0761  0.7160
Nb  0.5048  0.0584  0.2107
Nb  0.9988  0.5767  0.7184
Zn  0.4982  0.5019  0.4950
O  0.1317  0.5943  0.4562
O  0.1814  0.8995  0.7630
O  0.1934  0.2791  0.1387
O  0.3047  0.7773  0.1393
O  0.3167  0.4002  0.7637
O  0.3779  0.0988  0.4564
O  0.6256  0.0952  0.9581
O  0.6763  0.4096  0.2668
O  0.6886  0.7710  0.6340
O  0.8041  0.2779  0.6388
O  0.8197  0.9037  0.2632
O  0.8744  0.5947  0.9582

=====

Record 2
# BaO
Computed powder diffractogram, Cu Ka. Input: a crystal structure in the Materials Project, relaxed with PBE.
Neutral-atom scattering factors, no anomalous dispersion.

Principal peaks in the range 10 to 90 degrees two-theta, low angle first:
| 2theta | intensity |
| --- | --- |
| 27.1 | 57 |
| 27.6 | 45 |
| 28.1 | 30 |
| 29.6 | 100 |
| 31.3 | 33 |
| 32.3 | 55 |
| 46.3 | 40 |
| 46.4 | 31 |

Structural model:
abc: 3.9239 3.9239 52.7060
angles: 90.00 90.00 120.18
Fractional coordinates of all 32 atoms:
Ba  0.0000  0.0000  0.0000
Ba  0.0000  0.0000  0.5000
Ba  0.0822  0.9178  0.6253
Ba  0.0822  0.9178  0.8747
Ba  0.2253  0.7747  0.2500
Ba  0.2839  0.7161  0.0627
Ba  0.2839  0.7161  0.4373
Ba  0.4356  0.5644  0.6875
Ba  0.4356  0.5644  0.8125
Ba  0.5644  0.4356  0.1875
Ba  0.5644  0.4356  0.3125
Ba  0.7161  0.2839  0.5627
Ba  0.7161  0.2839  0.9373
Ba  0.7747  0.2253  0.7500
Ba  0.9178  0.0822  0.1253
Ba  0.9178  0.0822  0.3747
O  0.1070  0.8930  0.7184
O  0.1070  0.8930  0.7816
O  0.2407  0.7593  0.1564
O  0.2407  0.7593  0.3436
O  0.3384  0.6616  0.5308
O  0.3384  0.6616  0.9692
O  0.4076  0.5924  0.5944
O  0.4076  0.5924  0.9056
O  0.5924  0.4076  0.0944
O  0.5924  0.4076  0.4056
O  0.6616  0.3384  0.0308
O  0.6616  0.3384  0.4692
O  0.7593  0.2407  0.6564
O  0.7593  0.2407  0.8436
O  0.8930  0.1070  0.2184
O  0.8930  0.1070  0.2816